# Rb2CuSbCl6
Theoretical PXRD pattern, Cu Kα (λ = 1.5418 Å). Input: a GGA-PBE-relaxed structure.

```
10
Lattice="6.3169 -3.6483 0.0000 6.3169 3.6483 0.0000 -4.2101 0.0000 5.9572" Properties=species:S:1:pos:R:3 pbc="T T T"
Rb 2.1044 0.0000 1.4891
Rb 6.3194 0.0000 4.4681
Cu -2.1051 0.0000 2.9786
Sb 6.3169 0.0000 0.0000
Cl 5.2249 1.8832 1.5348
Cl -0.0638 0.0000 4.4134
Cl 3.1988 1.8832 4.4223
Cl 5.2249 -1.8832 1.5348
Cl 8.4875 0.0000 1.5437
Cl 3.1988 -1.8832 4.4223
```

Most intense lines, 10 to 90 degrees two-theta, in order of rising 2θ:
| 2θ/deg | I (rel.) |
| --- | --- |
| 24.40 | 100 |
| 34.78 | 79 |
| 42.94 | 45 |
| 50.01 | 52 |
| 67.99 | 23 |
| 83.87 | 22 |


# Cu2SCl2
Theoretical PXRD pattern, Cu Kα (λ = 1.5418 Å). Input: a GGA-PBE-relaxed structure.

```
10
Lattice="0.0000 5.4882 5.9417 3.8167 0.0000 5.9417 3.8167 5.4882 0.0000" Properties=species:S:1:pos:R:3 pbc="T T T"
Cu 0.0000 0.0000 0.0000
Cu 1.9084 2.7441 0.0000
Cu 1.9084 0.0000 2.9709
Cu 0.0000 2.7441 2.9709
S 0.9542 1.3721 1.4854
S 6.6793 9.6044 10.3980
Cl 2.8626 4.1162 1.5741
Cl 4.7709 6.8603 4.5450
Cl 2.8626 4.1162 7.3384
Cl 4.7709 6.8603 10.3093
```

Most intense lines, 10 to 90 degrees two-theta, in order of rising 2θ:
| 2θ/deg | I (rel.) |
| --- | --- |
| 15.99 | 100 |
| 28.48 | 17 |
| 32.30 | 40 |
| 35.41 | 16 |
| 44.97 | 23 |
| 58.94 | 11 |